(1)
Calculated powder X-ray diffraction pattern of LiSn5Te6 for a wavelength of 1.5418 Å, from DFT lattice parameters and positions (GGA-PBE).
Intensities are scaled so that the largest is 100.

Structural model:
Lattice parameters (Å, degrees): 7.7211 7.7211 7.6951 99.67 99.67 119.99
Element x y z (fractional)
Li 0.0000 0.0000 0.0000
Sn 0.1711 0.8289 0.5000
Sn 0.3357 0.6643 0.0000
Sn 0.5000 0.5000 0.5000
Sn 0.6643 0.3357 0.0000
Sn 0.8289 0.1711 0.5000
Te 0.0801 0.4063 0.2433
Te 0.2429 0.2429 0.7530
Te 0.4063 0.0801 0.2433
Te 0.5937 0.9199 0.7567
Te 0.7571 0.7571 0.2470
Te 0.9199 0.5937 0.7567

Peak list (10 most intense, 2θ = 5–70°, sorted by position)
2theta, I/Imax
24.44, 2
28.35, 100
40.47, 38
40.59, 38
50.15, 21
50.36, 7
58.66, 13
66.33, 18
66.45, 6
66.52, 12

(2)
Calculated powder X-ray diffraction pattern of Li2Sn3Te4 for a wavelength of 1.5418 Å, from DFT lattice parameters and positions (GGA-PBE).
Intensities are scaled so that the largest is 100.

Structural model:
Lattice parameters (Å, degrees): 8.9127 8.9127 7.7246 91.47 91.47 75.54
Element x y z (fractional)
Li 0.0715 0.3242 0.4227
Li 0.3242 0.0715 0.9227
Li 0.6758 0.9285 0.0773
Li 0.9285 0.6758 0.5773
Sn 0.0916 0.9084 0.2500
Sn 0.2419 0.5071 0.0409
Sn 0.4929 0.7581 0.4591
Sn 0.5071 0.2419 0.5409
Sn 0.7581 0.4929 0.9591
Sn 0.9084 0.0916 0.7500
Te 0.0501 0.2469 0.0727
Te 0.2189 0.5735 0.4220
Te 0.2469 0.0501 0.5727
Te 0.4265 0.7811 0.0780
Te 0.5735 0.2189 0.9220
Te 0.7531 0.9499 0.4273
Te 0.7811 0.4265 0.5780
Te 0.9499 0.7531 0.9273

Peak list (10 most intense, 2θ = 5–70°, sorted by position)
2theta, I/Imax
15.25, 88
23.04, 43
25.29, 100
25.46, 41
27.75, 46
32.82, 65
33.02, 41
38.68, 77
41.88, 40
47.86, 39

(3)
Calculated powder X-ray diffraction pattern of Li2Sn5Te5 for a wavelength of 1.5418 Å, from DFT lattice parameters and positions (GGA-PBE).
Intensities are scaled so that the largest is 100.

Structural model:
Lattice parameters (Å, degrees): 8.2948 8.2948 8.2948 98.18 98.18 135.69
Element x y z (fractional)
Li 0.0000 0.5000 0.5000
Li 0.5000 0.0000 0.5000
Sn 0.1208 0.1208 0.4298
Sn 0.1208 0.6910 0.0000
Sn 0.3097 0.3097 0.0000
Sn 0.6910 0.1208 0.0000
Sn 0.6910 0.6910 0.5702
Te 0.2502 0.5403 0.2901
Te 0.2502 0.9601 0.7099
Te 0.5403 0.2502 0.2901
Te 0.8001 0.8001 0.0000
Te 0.9601 0.2502 0.7099

Peak list (10 most intense, 2θ = 5–70°, sorted by position)
2theta, I/Imax
16.34, 22
23.18, 43
28.49, 98
33.00, 100
35.04, 30
37.06, 40
44.14, 52
47.34, 31
61.58, 24
64.22, 33